Computed powder diffractogram of Na5Mn7O16 for Cu Kα (weighted mean of Kα1 and Kα2), from the PBE+U geometry in Alexandria.
Kinematic intensities with the Lorentz-polarization factor, no thermal factor.

The 12 most intense peaks (15 to 90 degrees two-theta), by intensity:
d/Å  I (rel.)
5.186  100
2.156  69
4.953  63
2.591  40
4.993  39
2.566  39
2.209  38
1.522  36
1.565  32
2.643  32
2.608  29
2.661  29

Structure:
```
28
Lattice="6.2255 0.0000 0.0000 0.0000 5.9815 0.0000 -0.3561 0.0000 8.8368" Properties=species:S:1:pos:R:3 pbc="T T T"
Na 0.0000 0.0000 0.0000
Na 1.3751 2.9908 1.0405
Na 1.3199 0.0000 3.2968
Na 4.5494 0.0000 5.5400
Na 4.4942 2.9908 7.7964
Mn -0.1781 2.9908 4.4184
Mn 1.4436 1.4891 6.6227
Mn 1.4436 4.4924 6.6227
Mn 3.1127 0.0000 0.0000
Mn 2.9347 2.9908 4.4184
Mn 4.4257 1.4891 2.2141
Mn 4.4257 4.4924 2.2141
O 0.1903 2.9908 6.5955
O 0.2692 0.0000 6.4940
O 1.4222 1.7394 4.6012
O 1.4222 4.2421 4.6012
O 1.4597 1.3679 8.4826
O 1.4597 4.6137 8.4826
O 2.7762 2.9908 6.3780
O 2.7656 0.0000 6.8258
O 3.1038 0.0000 2.0110
O 3.0932 2.9908 2.4588
O 4.4096 1.3679 0.3542
O 4.4096 4.6137 0.3542
O 4.4471 1.7394 4.2357
O 4.4471 4.2421 4.2357
O 5.6001 0.0000 2.3428
O 5.6790 2.9908 2.2413
```